Simulated powder XRD pattern
Compound: Na2ZnSiO4
Radiation: Cu Kα (weighted mean of Kα1 and Kα2)
Structure: a crystal structure in Alexandria, relaxed with PBE
Intensities are scaled so that the largest is 100.

Principal peaks in the range 2θ = 10–90°, in order of falling intensity:
d_spacing	2θ (°)	I/Imax
2.668	33.59	100
2.602	34.47	82
2.592	34.60	80
4.357	20.38	79
2.973	30.06	76
2.772	32.29	71

Atomic structure:
Cell lengths 5.3361, 5.5444, 8.8161 Å; angles 90.00, 126.95, 90.00 degrees
Atoms (fractional coordinates):
1 Na 0.0000 0.1721 0.0000
2 Na 0.0000 0.8279 0.5000
3 Na 0.7492 0.3186 0.2448
4 Na 0.7492 0.6814 0.7448
5 Zn 0.2628 0.3121 0.7506
6 Zn 0.2628 0.6879 0.2506
7 Si 0.5141 0.1881 0.4981
8 Si 0.5141 0.8119 0.9981
9 O 0.2404 0.3422 0.3060
10 O 0.2404 0.6578 0.8060
11 O 0.4078 0.0994 0.9709
12 O 0.4078 0.9006 0.4709
13 O 0.5697 0.2909 0.6923
14 O 0.5697 0.7091 0.1923
15 O 0.8475 0.2107 0.5248
16 O 0.8475 0.7893 0.0248


Simulated powder XRD pattern
Compound: Na2ZrSi2O7
Radiation: Cu Kα (weighted mean of Kα1 and Kα2)
Structure: a crystal structure in Alexandria, relaxed with PBE
Intensities are scaled so that the largest is 100.

Principal peaks in the range 2θ = 10–90°, in order of falling intensity:
d_spacing	2θ (°)	I/Imax
4.261	20.84	100
4.034	22.03	87
2.762	32.42	52
2.931	30.50	44
2.987	29.91	42
6.116	14.48	32

Atomic structure:
Cell lengths 5.5345, 6.6643, 9.0377 Å; angles 70.47, 88.28, 86.39 degrees
Atoms (fractional coordinates):
1 Na 0.2356 0.3911 0.1098
2 Na 0.2574 0.1568 0.5115
3 Na 0.7426 0.8432 0.4885
4 Na 0.7644 0.6089 0.8902
5 Zr 0.2744 0.7921 0.2721
6 Zr 0.7256 0.2079 0.7279
7 Si 0.1924 0.5623 0.6651
8 Si 0.2721 0.8508 0.8552
9 Si 0.7279 0.1492 0.1448
10 Si 0.8076 0.4377 0.3349
11 O 0.0413 0.0096 0.7784
12 O 0.0899 0.5039 0.3284
13 O 0.2221 0.6140 0.8345
14 O 0.2270 0.7801 0.5144
15 O 0.3011 0.7855 0.0440
16 O 0.3925 0.3736 0.6673
17 O 0.4721 0.0726 0.2364
18 O 0.5279 0.9274 0.7636
19 O 0.6075 0.6264 0.3327
20 O 0.6989 0.2145 0.9560
21 O 0.7730 0.2199 0.4856
22 O 0.7779 0.3860 0.1655
23 O 0.9101 0.4961 0.6716
24 O 0.9587 0.9904 0.2216


Simulated powder XRD pattern
Compound: Na2ZrSi4O11
Radiation: Cu Kα (weighted mean of Kα1 and Kα2)
Structure: a crystal structure in Alexandria, relaxed with PBE
Intensities are scaled so that the largest is 100.

Principal peaks in the range 2θ = 10–90°, in order of falling intensity:
d_spacing	2θ (°)	I/Imax
3.282	27.17	100
2.994	29.84	87
5.123	17.31	64
3.411	26.12	62
3.719	23.93	55
5.319	16.67	53

Atomic structure:
Cell lengths 7.5861, 7.5861, 8.6922 Å; angles 97.71, 97.71, 84.96 degrees
Atoms (fractional coordinates):
1 Na 0.0756 0.9244 0.7500
2 Na 0.3942 0.6058 0.7500
3 Na 0.6058 0.3942 0.2500
4 Na 0.9244 0.0756 0.2500
5 Zr 0.0000 0.5000 0.5000
6 Zr 0.5000 0.0000 0.0000
7 Si 0.1670 0.7326 0.0731
8 Si 0.1920 0.3365 0.1393
9 Si 0.2674 0.8330 0.4269
10 Si 0.3365 0.1920 0.6393
11 Si 0.6635 0.8080 0.3607
12 Si 0.7326 0.1670 0.5731
13 Si 0.8080 0.6635 0.8607
14 Si 0.8330 0.2674 0.9269
15 O 0.0413 0.2464 0.0037
16 O 0.1041 0.3728 0.3011
17 O 0.1593 0.8407 0.2500
18 O 0.1764 0.7133 0.5309
19 O 0.2058 0.3723 0.6453
20 O 0.2439 0.5261 0.0861
21 O 0.2464 0.0413 0.5037
22 O 0.2867 0.8236 0.9691
23 O 0.3723 0.2058 0.1453
24 O 0.3728 0.1041 0.8011
25 O 0.4739 0.7561 0.4139
26 O 0.5261 0.2439 0.5861
27 O 0.6272 0.8959 0.1989
28 O 0.6277 0.7942 0.8547
29 O 0.7133 0.1764 0.0309
30 O 0.7536 0.9587 0.4963
31 O 0.7561 0.4739 0.9139
32 O 0.7942 0.6277 0.3547
33 O 0.8236 0.2867 0.4691
34 O 0.8407 0.1593 0.7500
35 O 0.8959 0.6272 0.6989
36 O 0.9587 0.7536 0.9963


Simulated powder XRD pattern
Compound: NaZrSi2O7
Radiation: Cu Kα (weighted mean of Kα1 and Kα2)
Structure: a crystal structure in Alexandria, relaxed with PBE
Intensities are scaled so that the largest is 100.

Principal peaks in the range 2θ = 10–90°, in order of falling intensity:
d_spacing	2θ (°)	I/Imax
4.191	21.20	100
4.108	21.63	88
6.333	13.98	73
4.287	20.72	57
2.761	32.43	40
3.012	29.66	38

Atomic structure:
Cell lengths 5.5259, 7.0513, 8.7633 Å; angles 69.68, 88.34, 88.19 degrees
Atoms (fractional coordinates):
1 Na 0.2180 0.3096 0.0474
2 Na 0.7820 0.6904 0.9526
3 Zr 0.2403 0.6980 0.2418
4 Zr 0.7597 0.3020 0.7582
5 Si 0.2432 0.6254 0.6696
6 Si 0.2899 0.9579 0.8072
7 Si 0.7101 0.0421 0.1928
8 Si 0.7568 0.3746 0.3304
9 O 0.0146 0.4577 0.2359
10 O 0.0881 0.1387 0.7790
11 O 0.2138 0.7811 0.9791
12 O 0.2512 0.6259 0.4845
13 O 0.2756 0.8607 0.6623
14 O 0.4352 0.9683 0.1877
15 O 0.4595 0.4832 0.7811
16 O 0.5405 0.5168 0.2189
17 O 0.5648 0.0317 0.8123
18 O 0.7244 0.1393 0.3377
19 O 0.7488 0.3741 0.5155
20 O 0.7862 0.2189 0.0209
21 O 0.9119 0.8613 0.2210
22 O 0.9854 0.5423 0.7641


Simulated powder XRD pattern
Compound: NaSmO2
Radiation: Cu Kα (weighted mean of Kα1 and Kα2)
Structure: a crystal structure in Alexandria, relaxed with PBE
Intensities are scaled so that the largest is 100.

Principal peaks in the range 2θ = 10–90°, in order of falling intensity:
d_spacing	2θ (°)	I/Imax
4.323	20.55	100
2.840	31.51	81
2.356	38.19	50
1.779	51.36	38
2.713	33.02	35
2.069	43.75	28

Atomic structure:
Cell lengths 6.3669, 6.3669, 6.3669 Å; angles 136.56, 136.56, 63.12 degrees
Atoms (fractional coordinates):
1 Na 0.3750 0.6250 0.7500
2 Na 0.6250 0.3750 0.2500
3 Sm 0.1250 0.8750 0.2500
4 Sm 0.8750 0.1250 0.7500
5 O 0.0940 0.3440 0.7500
6 O 0.3440 0.0940 0.2500
7 O 0.6560 0.9060 0.7500
8 O 0.9060 0.6560 0.2500


Simulated powder XRD pattern
Compound: Na3SmO3
Radiation: Cu Kα (weighted mean of Kα1 and Kα2)
Structure: a crystal structure in Alexandria, relaxed with PBE
Intensities are scaled so that the largest is 100.

Principal peaks in the range 2θ = 10–90°, in order of falling intensity:
d_spacing	2θ (°)	I/Imax
5.753	15.40	100
2.479	36.24	72
4.955	17.90	38
2.978	30.01	33
2.877	31.09	30
2.848	31.41	27

Atomic structure:
Cell lengths 7.0099, 7.0099, 7.0099 Å; angles 120.47, 119.47, 90.05 degrees
Atoms (fractional coordinates):
1 Na 0.0000 0.2134 0.2134
2 Na 0.0000 0.7866 0.7866
3 Na 0.4741 0.2241 0.2500
4 Na 0.5000 0.2134 0.7134
5 Na 0.5000 0.7866 0.2866
6 Na 0.5259 0.7759 0.7500
7 Sm 0.0249 0.7749 0.2500
8 Sm 0.9751 0.2251 0.7500
9 O 0.2235 0.0000 0.7235
10 O 0.2235 0.5000 0.2235
11 O 0.2417 0.9917 0.2500
12 O 0.7583 0.0083 0.7500
13 O 0.7765 0.0000 0.2765
14 O 0.7765 0.5000 0.7765